Record 1
For Li2VO2F, the PBE+U geometry in the Materials Project gives the calculated X-ray powder pattern in this record (Cu Kα, 1.54184 Å).
Kinematic intensities with the Lorentz-polarization factor, no thermal factor.

Principal peaks in the range 2θ = 10–90°, in order of rising 2θ:
| d_spacing | Position (°2θ) | intensity | hkl |
| --- | --- | --- | --- |
| 4.491 | 19.77 | 16 | 0 0 2 |
| 3.777 | 23.55 | 31 | 1 0 -1 |
| 3.053 | 29.25 | 61 | 1 0 -2 |
| 2.473 | 36.33 | 21 | 0 1 2 |
| 2.331 | 38.63 | 34 | 1 1 1 |
| 2.106 | 42.95 | 100 | 0 1 3 |
| 2.081 | 43.48 | 50 | 2 0 0 |
| 1.481 | 62.73 | 40 | 0 2 0 |
| 1.479 | 62.82 | 27 | 2 1 3 |
| 1.441 | 64.68 | 14 | 1 1 -5 |

Structural model:
Cell lengths 4.163, 2.962, 8.983 Å; angles 90.00, 90.12, 90.00 degrees
Fractional positions:
Li1 0.247 0.250 0.272
Li2 0.249 0.250 0.584
Li3 0.751 0.750 0.416
Li4 0.753 0.750 0.728
V1 0.257 0.250 0.905
V2 0.743 0.750 0.095
O1 0.246 0.750 0.070
O2 0.250 0.750 0.757
O3 0.750 0.250 0.243
O4 0.754 0.250 0.930
F1 0.251 0.750 0.422
F2 0.749 0.250 0.578

Record 2
For LiVOF3, the PBE+U geometry in the Materials Project gives the calculated X-ray powder pattern in this record (Cu Kα, 1.54184 Å).
Kinematic intensities with the Lorentz-polarization factor, no thermal factor.

Principal peaks in the range 2θ = 10–90°, in order of rising 2θ:
| d_spacing | Position (°2θ) | intensity | hkl |
| --- | --- | --- | --- |
| 5.920 | 14.97 | 55 | 0 0 2 |
| 3.726 | 23.88 | 59 | 0 1 2 |
| 3.164 | 28.20 | 100 | 1 1 -2 |
| 2.982 | 29.97 | 23 | 1 0 2 |
| 2.206 | 40.92 | 35 | 1 1 3 |
| 2.192 | 41.18 | 31 | 1 1 -5 |
| 2.117 | 42.71 | 21 | 1 2 -1 |
| 1.686 | 54.43 | 19 | 2 1 2 |
| 1.674 | 54.86 | 21 | 2 1 -6 |
| 1.642 | 55.99 | 22 | 2 2 -2 |

Structural model:
Cell lengths 4.508, 4.796, 12.633 Å; angles 90.00, 110.42, 90.00 degrees
Fractional positions:
Li1 0.049 0.246 0.057
Li2 0.049 0.254 0.557
Li3 0.951 0.746 0.443
Li4 0.951 0.754 0.943
V1 0.346 0.220 0.319
V2 0.346 0.280 0.819
V3 0.654 0.720 0.181
V4 0.654 0.780 0.681
O1 0.436 0.057 0.698
O2 0.436 0.443 0.198
O3 0.564 0.557 0.802
O4 0.564 0.943 0.302
F1 0.044 0.565 0.304
F2 0.044 0.935 0.804
F3 0.184 0.091 0.431
F4 0.184 0.409 0.931
F5 0.328 0.584 0.568
F6 0.328 0.916 0.068
F7 0.672 0.084 0.932
F8 0.672 0.416 0.432
F9 0.816 0.591 0.069
F10 0.816 0.909 0.569
F11 0.956 0.065 0.196
F12 0.956 0.435 0.696

Record 3
For Li6V2O5F2, the PBE+U geometry in the Materials Project gives the calculated X-ray powder pattern in this record (Cu Kα, 1.54184 Å).
Kinematic intensities with the Lorentz-polarization factor, no thermal factor.

Principal peaks in the range 2θ = 10–90°, in order of rising 2θ:
| d_spacing | Position (°2θ) | intensity | hkl |
| --- | --- | --- | --- |
| 5.053 | 17.55 | 93 | 0 1 1 |
| 4.195 | 21.18 | 56 | 1 0 -2 |
| 3.882 | 22.91 | 16 | 1 1 -1 |
| 3.240 | 27.53 | 43 | 1 1 1 |
| 2.098 | 43.12 | 100 | 2 0 -4 |
| 1.893 | 48.07 | 10 | 2 2 0 |
| 1.861 | 48.96 | 9 | 0 2 4 |
| 1.767 | 51.75 | 9 | 1 3 1 |
| 1.499 | 61.88 | 15 | 3 2 -2 |
| 1.468 | 63.37 | 17 | 1 2 -6 |

Structural model:
Cell lengths 5.205, 5.960, 10.119 Å; angles 90.00, 109.69, 90.00 degrees
Fractional positions:
Li1 0.000 0.013 0.000
Li2 0.000 0.987 0.500
Li3 0.533 0.036 0.300
Li4 0.533 0.964 0.800
Li5 0.556 0.477 0.279
Li6 0.556 0.523 0.779
Li7 0.589 0.261 0.517
Li8 0.589 0.739 0.017
Li9 0.930 0.264 0.776
Li10 0.930 0.736 0.276
Li11 0.963 0.463 0.013
Li12 0.963 0.537 0.513
V1 0.031 0.252 0.277
V2 0.031 0.748 0.777
V3 0.498 0.233 0.019
V4 0.498 0.767 0.519
O1 0.264 0.246 0.148
O2 0.264 0.754 0.648
O3 0.287 0.035 0.414
O4 0.287 0.965 0.914
O5 0.712 0.240 0.893
O6 0.712 0.760 0.393
O7 0.756 0.472 0.144
O8 0.756 0.528 0.644
O9 0.814 0.261 0.401
O10 0.814 0.739 0.901
F1 0.242 0.465 0.882
F2 0.242 0.535 0.382
F3 0.782 0.009 0.652
F4 0.782 0.991 0.152

Record 4
For Li7VO5F, the PBE+U geometry in the Materials Project gives the calculated X-ray powder pattern in this record (Cu Kα, 1.54184 Å).
Kinematic intensities with the Lorentz-polarization factor, no thermal factor.

Principal peaks in the range 2θ = 10–90°, in order of rising 2θ:
| d_spacing | Position (°2θ) | intensity | hkl |
| --- | --- | --- | --- |
| 5.031 | 17.63 | 69 | 0 0 1 |
| 4.485 | 19.80 | 55 | 1 0 0 |
| 4.010 | 22.17 | 29 | 0 1 0 |
| 3.980 | 22.34 | 41 | 1 0 -1 |
| 3.952 | 22.50 | 55 | 1 -1 1 |
| 2.940 | 30.40 | 32 | 1 0 1 |
| 2.689 | 33.32 | 22 | 2 -1 0 |
| 2.391 | 37.63 | 63 | 1 1 -2 |
| 2.371 | 37.94 | 100 | 2 -1 1 |
| 1.847 | 49.35 | 31 | -1 2 1 |

Structural model:
Cell lengths 5.378, 5.403, 5.913 Å; angles 117.09, 90.36, 119.26 degrees
Fractional positions:
Li1 0.000 0.000 0.000
Li2 0.012 0.902 0.311
Li3 0.272 0.765 0.682
Li4 0.310 0.573 0.042
Li5 0.440 0.625 0.282
Li6 0.761 0.262 0.300
Li7 0.817 0.028 0.696
V1 0.485 0.426 0.651
O1 0.140 0.470 0.409
O2 0.299 0.126 0.888
O3 0.439 0.057 0.428
O4 0.602 0.817 0.901
O5 0.763 0.680 0.487
F1 0.936 0.423 0.926

Repeat the third record exactly.
For Li6V2O5F2, the PBE+U geometry in the Materials Project gives the calculated X-ray powder pattern in this record (Cu Kα, 1.54184 Å).
Kinematic intensities with the Lorentz-polarization factor, no thermal factor.

Principal peaks in the range 2θ = 10–90°, in order of rising 2θ:
| d_spacing | Position (°2θ) | intensity | hkl |
| --- | --- | --- | --- |
| 5.053 | 17.55 | 93 | 0 1 1 |
| 4.195 | 21.18 | 56 | 1 0 -2 |
| 3.882 | 22.91 | 16 | 1 1 -1 |
| 3.240 | 27.53 | 43 | 1 1 1 |
| 2.098 | 43.12 | 100 | 2 0 -4 |
| 1.893 | 48.07 | 10 | 2 2 0 |
| 1.861 | 48.96 | 9 | 0 2 4 |
| 1.767 | 51.75 | 9 | 1 3 1 |
| 1.499 | 61.88 | 15 | 3 2 -2 |
| 1.468 | 63.37 | 17 | 1 2 -6 |

Structural model:
Cell lengths 5.205, 5.960, 10.119 Å; angles 90.00, 109.69, 90.00 degrees
Fractional positions:
Li1 0.000 0.013 0.000
Li2 0.000 0.987 0.500
Li3 0.533 0.036 0.300
Li4 0.533 0.964 0.800
Li5 0.556 0.477 0.279
Li6 0.556 0.523 0.779
Li7 0.589 0.261 0.517
Li8 0.589 0.739 0.017
Li9 0.930 0.264 0.776
Li10 0.930 0.736 0.276
Li11 0.963 0.463 0.013
Li12 0.963 0.537 0.513
V1 0.031 0.252 0.277
V2 0.031 0.748 0.777
V3 0.498 0.233 0.019
V4 0.498 0.767 0.519
O1 0.264 0.246 0.148
O2 0.264 0.754 0.648
O3 0.287 0.035 0.414
O4 0.287 0.965 0.914
O5 0.712 0.240 0.893
O6 0.712 0.760 0.393
O7 0.756 0.472 0.144
O8 0.756 0.528 0.644
O9 0.814 0.261 0.401
O10 0.814 0.739 0.901
F1 0.242 0.465 0.882
F2 0.242 0.535 0.382
F3 0.782 0.009 0.652
F4 0.782 0.991 0.152